(1)
Diffraction record for Ca3Pr2Nd2. The X-ray powder pattern is calculated, not measured: it uses a cell relaxed with GGA-PBE and Cu Kα, 1.54184 Å.

Cell and atoms:
```
data_Ca3Pr2Nd2
_chemical_formula_sum 'Ca6 Pr4 Nd4'
_space_group_name_H-M_alt 'C m m m'
_space_group_IT_number 65
_space_group_name_Hall '-C 2 2'
_cell_length_a 5.7857
_cell_length_b 25.4046
_cell_length_c 3.6836
_cell_angle_alpha 90.00
_cell_angle_beta 90.00
_cell_angle_gamma 90.00
loop_
_atom_site_label
_atom_site_fract_x
_atom_site_fract_y
_atom_site_fract_z
Ca1 0.0000 0.0000 0.0000
Ca2 0.0000 0.4243 0.5000
Pr1 0.0000 0.2833 0.5000
Nd1 0.0000 0.1557 0.0000
```

Principal peaks in the range 2θ from 10° to 90°, by angle:
- 28.00 deg, I = 17.8
- 29.01 deg, I = 100.0
- 30.65 deg, I = 40.9
- 30.91 deg, I = 31.6
- 32.21 deg, I = 26.3
- 33.81 deg, I = 15.6
- 35.38 deg, I = 16.7
- 42.19 deg, I = 13.1
- 45.25 deg, I = 20.1
- 53.81 deg, I = 17.1
- 55.55 deg, I = 13.3
- 58.41 deg, I = 17.4

---

(2)
Diffraction record for CaPr6Nd5. The X-ray powder pattern is calculated, not measured: it uses a cell relaxed with GGA-PBE and Cu Kα, 1.54184 Å.

Cell and atoms:
```
data_CaPr6Nd5
_chemical_formula_sum 'Ca2 Pr12 Nd10'
_space_group_name_H-M_alt 'C 1 2/m 1'
_space_group_IT_number 12
_cell_length_a 6.4363
_cell_length_b 11.1590
_cell_length_c 12.2587
_cell_angle_alpha 90.00
_cell_angle_beta 100.09
_cell_angle_gamma 90.00
loop_
_space_group_symop_operation_xyz
'x,y,z'
'-x,-y,-z'
'-x,y,-z'
'x,-y,z'
'x+1/2,y+1/2,z'
'-x+1/2,-y+1/2,-z'
'-x+1/2,y+1/2,-z'
'x+1/2,-y+1/2,z'
loop_
_atom_site_label
_atom_site_fract_x
_atom_site_fract_y
_atom_site_fract_z
Ca1 0.0000 0.0000 0.0000
Pr1 0.2447 0.5000 0.2525
Pr2 0.2471 0.3305 0.7479
Nd1 0.0000 0.1661 0.5000
Nd2 0.0000 0.3327 0.0000
Nd3 0.0000 0.5000 0.5000
```

Principal peaks in the range 2θ from 10° to 90°, by angle:
- 29.44 deg, I = 100.0
- 29.61 deg, I = 32.8
- 34.18 deg, I = 67.1
- 49.00 deg, I = 24.2
- 49.21 deg, I = 23.9
- 58.19 deg, I = 9.7
- 58.29 deg, I = 33.4
- 58.49 deg, I = 14.2
- 61.10 deg, I = 12.5
- 71.99 deg, I = 7.6
- 79.46 deg, I = 11.6
- 82.31 deg, I = 10.6